[1]
Diffraction record for Sc2SiB2Os5. The X-ray powder pattern is calculated, not measured: it uses the GGA-PBE geometry in Alexandria and Cu Kα (λ = 1.5418 Å).

Most intense lines, 10° ≤ 2θ ≤ 80°, most intense first:
d [Å]	2θ (°)	Rel. int.
2.111	42.83	100.0
3.007	29.71	96.5
2.274	39.63	90.4
1.967	46.15	59.7
2.965	30.14	58.0
2.600	34.49	52.6
1.814	50.30	50.3
2.444	36.78	44.6
1.213	78.90	43.4
2.097	43.15	38.1

Cell lengths 9.376, 9.376, 3.007 Å; angles 90.00, 90.00, 90.00 degrees
Fractional positions:
Sc1 0.175 0.325 0.000
Sc2 0.325 0.825 0.000
Sc3 0.675 0.175 0.000
Sc4 0.825 0.675 0.000
Si1 0.000 0.000 0.000
Si2 0.500 0.500 0.000
B1 0.125 0.625 0.000
B2 0.375 0.125 0.000
B3 0.625 0.875 0.000
B4 0.875 0.375 0.000
Os1 0.000 0.500 0.500
Os2 0.069 0.790 0.500
Os3 0.210 0.069 0.500
Os4 0.290 0.569 0.500
Os5 0.431 0.290 0.500
Os6 0.500 0.000 0.500
Os7 0.569 0.710 0.500
Os8 0.710 0.431 0.500
Os9 0.790 0.931 0.500
Os10 0.931 0.210 0.500

[2]
Diffraction record for La6Pm12Nd. The X-ray powder pattern is calculated, not measured: it uses the GGA-PBE geometry in Alexandria and Cu Kα (λ = 1.5418 Å).

Most intense lines, 10° ≤ 2θ ≤ 80°, most intense first:
d [Å]	2θ (°)	Rel. int.
3.009	29.69	100.0
2.606	34.41	50.7
1.843	49.46	36.4
1.572	58.74	32.6
1.570	58.80	10.8
1.504	61.68	9.4
1.303	72.55	5.8
1.507	61.54	3.1

Cell lengths 9.746, 9.746, 9.746 Å; angles 110.89, 110.89, 110.89 degrees
Fractional positions:
La1 0.054 0.579 0.369
La2 0.369 0.054 0.579
La3 0.421 0.631 0.946
La4 0.579 0.369 0.054
La5 0.631 0.946 0.421
La6 0.946 0.421 0.631
Pm1 0.105 0.157 0.738
Pm2 0.157 0.738 0.105
Pm3 0.210 0.315 0.472
Pm4 0.262 0.895 0.843
Pm5 0.315 0.472 0.210
Pm6 0.472 0.210 0.315
Pm7 0.528 0.790 0.685
Pm8 0.685 0.528 0.790
Pm9 0.738 0.105 0.157
Pm10 0.790 0.685 0.528
Pm11 0.843 0.262 0.895
Pm12 0.895 0.843 0.262
Nd1 0.000 0.000 0.000

[3]
Diffraction record for PaTiTlS4. The X-ray powder pattern is calculated, not measured: it uses the GGA-PBE geometry in Alexandria and Cu Kα (λ = 1.5418 Å).

Most intense lines, 10° ≤ 2θ ≤ 80°, most intense first:
d [Å]	2θ (°)	Rel. int.
3.590	24.80	100.0
3.155	28.28	77.5
2.511	35.77	47.9
6.083	14.56	46.3
3.742	23.78	45.8
3.385	26.33	41.1
3.275	27.23	38.7
1.929	47.10	38.4
2.130	42.43	32.9
1.818	50.19	32.3

Cell lengths 7.812, 7.812, 7.812 Å; angles 122.75, 110.59, 96.16 degrees
Fractional positions:
Pa1 0.000 0.000 0.000
Pa2 0.500 0.000 0.500
Ti1 0.500 0.000 0.000
Ti2 0.500 0.500 0.500
Tl1 0.068 0.318 0.750
Tl2 0.932 0.682 0.250
S1 0.258 0.230 0.472
S2 0.258 0.786 0.028
S3 0.313 0.748 0.566
S4 0.318 0.252 0.066
S5 0.682 0.748 0.934
S6 0.687 0.252 0.434
S7 0.742 0.214 0.972
S8 0.742 0.770 0.528